Calculated XRD peak list
Compound: Ca4ZnFe3Si8O24
Radiation: CuKα
Structure: a crystal structure in the Materials Project, relaxed with GGA+U
Neutral-atom scattering factors, no anomalous dispersion.

Structural model:
Lattice parameters (Å, degrees): 5.316 9.134 9.969 90.00 105.28 90.00
Element x y z (fractional)
Ca: 0.000 0.000 0.000
Ca: 0.000 0.500 0.500
Ca: 0.500 0.098 0.500
Ca: 0.500 0.598 0.000
Zn: 0.000 0.393 0.000
Fe: 0.000 0.892 0.500
Fe: 0.500 0.206 0.000
Fe: 0.500 0.706 0.500
Si: 0.018 0.207 0.713
Si: 0.018 0.706 0.213
Si: 0.481 0.391 0.287
Si: 0.482 0.891 0.787
Si: 0.518 0.891 0.213
Si: 0.519 0.391 0.713
Si: 0.982 0.207 0.287
Si: 0.982 0.706 0.787
O: 0.073 0.053 0.362
O: 0.074 0.552 0.863
O: 0.100 0.209 0.881
O: 0.100 0.709 0.381
O: 0.244 0.318 0.350
O: 0.244 0.818 0.850
O: 0.256 0.780 0.150
O: 0.257 0.280 0.650
O: 0.398 0.389 0.118
O: 0.401 0.889 0.619
O: 0.426 0.044 0.137
O: 0.427 0.544 0.638
O: 0.573 0.544 0.362
O: 0.574 0.044 0.863
O: 0.599 0.889 0.381
O: 0.602 0.389 0.882
O: 0.743 0.280 0.350
O: 0.744 0.780 0.850
O: 0.756 0.318 0.650
O: 0.756 0.818 0.150
O: 0.900 0.209 0.119
O: 0.900 0.709 0.619
O: 0.926 0.552 0.137
O: 0.927 0.053 0.638

Largest 10 diffraction maxima, low angle first, 2θ from 10° to 90°:
index, 2θ (°), d/Å, I (rel.)
0 1 1, 13.37, 6.623, 26
1 2 -2, 29.33, 3.045, 100
0 1 3, 29.53, 3.025, 39
1 3 -1, 34.27, 2.617, 36
1 2 2, 34.82, 2.577, 47
2 0 0, 35.00, 2.564, 41
1 3 -3, 41.49, 2.176, 25
0 5 1, 50.88, 1.795, 17
3 2 -2, 55.88, 1.645, 18
1 3 5, 63.79, 1.459, 20